Structure and calculated X-ray diffraction stick pattern of Dy3BiRu4O14 (a DFT-relaxed cell (GGA-PBE, the Materials Project); Cu Kα X-rays).
Intensities are scaled so that the largest is 100.

Crystal structure
```
data_Dy3BiRu4O14
_chemical_formula_sum 'Dy3 Bi1 Ru4 O14'
_cell_length_a 7.261
_cell_length_b 7.261
_cell_length_c 7.261
_cell_angle_alpha 60.28
_cell_angle_beta 60.28
_cell_angle_gamma 60.28
_space_group_name_H-M_alt 'P 1'
_space_group_IT_number 1
loop_
_space_group_symop_operation_xyz
'x,y,z'
loop_
_atom_site_label
_atom_site_fract_x
_atom_site_fract_y
_atom_site_fract_z
Dy1 0.000 0.500 0.500
Dy2 0.500 0.000 0.500
Dy3 0.500 0.500 0.000
Bi1 0.500 0.500 0.500
Ru1 0.000 0.000 0.000
Ru2 0.000 0.000 0.500
Ru3 0.000 0.500 0.000
Ru4 0.500 0.000 0.000
O1 0.082 0.667 0.667
O2 0.085 0.085 0.665
O3 0.085 0.665 0.085
O4 0.333 0.333 0.918
O5 0.333 0.918 0.333
O6 0.335 0.915 0.915
O7 0.371 0.371 0.371
O8 0.629 0.629 0.629
O9 0.665 0.085 0.085
O10 0.667 0.082 0.667
O11 0.667 0.667 0.082
O12 0.915 0.335 0.915
O13 0.915 0.915 0.335
O14 0.918 0.333 0.333
```

Top 10 peaks for 15 to 90 degrees two-theta, in order of rising 2θ:
two_theta  d/Å  I_rel
30.0  2.975  100
30.2  2.958  33
34.9  2.573  45
50.0  1.823  31
50.3  1.815  31
59.5  1.554  14
59.6  1.552  29
59.8  1.547  14
62.4  1.487  10
81.3  1.183  12